For Ag4SnBr6, a DFT-relaxed cell (PBE, Alexandria) gives the simulated powder XRD pattern in this record (a wavelength of 1.5418 Å).
Lines closer than 0.1° are merged.

Most intense lines, 2θ from 10° to 90°, by angle:
d (Å), Position (°2θ), intensity
3.603, 24.7, 100
3.452, 25.8, 54
2.773, 32.3, 43
2.759, 32.4, 52
2.737, 32.7, 42
2.725, 32.9, 50
2.050, 44.2, 78
1.966, 46.2, 37
1.953, 46.5, 30
1.726, 53.1, 26

Cell and atoms:
a = 5.506 Å, b = 5.580 Å, c = 10.987 Å
α = 83.77°, β = 81.77°, γ = 89.63°
Element x y z (fractional)
Ag  0.000  0.000  0.000
Ag  0.103  0.561  0.678
Ag  0.499  0.508  0.008
Ag  0.604  0.064  0.678
Sn  0.475  0.848  0.361
Br  0.024  0.514  0.930
Br  0.119  0.077  0.617
Br  0.450  0.422  0.257
Br  0.523  0.019  0.931
Br  0.624  0.588  0.588
Br  0.956  0.927  0.252

***

For Ag2Sn2Br7, a DFT-relaxed cell (PBE, Alexandria) gives the simulated powder XRD pattern in this record (a wavelength of 1.5418 Å).
Lines closer than 0.1° are merged.

Most intense lines, 2θ from 10° to 90°, by angle:
d (Å), Position (°2θ), intensity
7.549, 11.7, 37
5.278, 16.8, 100
4.311, 20.6, 36
4.281, 20.7, 93
3.282, 27.2, 59
3.049, 29.3, 63
2.984, 29.9, 40
2.700, 33.2, 43
2.532, 35.5, 72
2.148, 42.1, 34

Cell and atoms:
a = 7.555 Å, b = 7.555 Å, c = 7.029 Å
α = 91.75°, β = 91.75°, γ = 91.26°
Element x y z (fractional)
Ag  0.000  0.000  0.000
Ag  0.589  0.589  0.969
Sn  0.404  0.890  0.522
Sn  0.890  0.404  0.522
Br  0.132  0.784  0.277
Br  0.160  0.160  0.714
Br  0.281  0.671  0.782
Br  0.577  0.577  0.338
Br  0.671  0.281  0.782
Br  0.784  0.132  0.277
Br  0.791  0.791  0.758

***

For Ag3SnBr4, a DFT-relaxed cell (PBE, Alexandria) gives the simulated powder XRD pattern in this record (a wavelength of 1.5418 Å).
Lines closer than 0.1° are merged.

Most intense lines, 2θ from 10° to 90°, by angle:
d (Å), Position (°2θ), intensity
3.197, 27.9, 100
2.673, 33.5, 59
2.051, 44.2, 55
1.890, 48.1, 20
1.764, 51.8, 32
1.627, 56.6, 12
1.390, 67.4, 14
1.290, 73.4, 27
1.233, 77.4, 10
1.195, 80.3, 8

Cell and atoms:
a = 6.670 Å, b = 6.670 Å, c = 6.670 Å
α = 110.96°, β = 110.96°, γ = 106.54°
Element x y z (fractional)
Ag  0.000  0.000  0.000
Ag  0.250  0.750  0.500
Ag  0.750  0.250  0.500
Sn  0.500  0.500  0.000
Br  0.095  0.625  0.000
Br  0.375  0.375  0.470
Br  0.625  0.095  0.000
Br  0.905  0.905  0.530